[1]
RbTlP2: computed powder diffraction line list (Cu Kα (weighted mean of Kα1 and Kα2)), based on a structure optimized by DFT (GGA-PBE).
Intensities are scaled so that the largest is 100.

Cell and atoms:
```
data_RbTlP2
_cell_length_a 5.2282
_cell_length_b 5.2282
_cell_length_c 18.9361
_cell_angle_alpha 90.00
_cell_angle_beta 90.00
_cell_angle_gamma 90.00
_symmetry_space_group_name_H-M 'P 1'
_symmetry_Int_Tables_number 1
_symmetry_space_group_name_Hall 'P 1'
loop_
_atom_site_label
_atom_site_fract_x
_atom_site_fract_y
_atom_site_fract_z
_atom_site_occupancy
Rb1 0.0000 0.2500 0.3750 1
Rb2 0.0000 0.7500 0.6250 1
Rb3 0.5000 0.2500 0.1250 1
Rb4 0.5000 0.7500 0.8750 1
Tl1 0.0000 0.2500 0.8750 1
Tl2 0.0000 0.7500 0.1250 1
Tl3 0.5000 0.2500 0.6250 1
Tl4 0.5000 0.7500 0.3750 1
P1 0.0000 0.0000 0.0000 1
P2 0.0000 0.5000 0.0000 1
P3 0.2500 0.2500 0.7500 1
P4 0.2500 0.7500 0.2500 1
P5 0.5000 0.0000 0.5000 1
P6 0.5000 0.5000 0.5000 1
P7 0.7500 0.2500 0.7500 1
P8 0.7500 0.7500 0.2500 1
```

Main lines, by angle (2θ from 10° to 90°):
2θ = 17.6°, I 38; 2θ = 18.7°, I 31; 2θ = 25.9°, I 100; 2θ = 34.3°, I 24; 2θ = 37.5°, I 44; 2θ = 39.4°, I 33; 2θ = 52.1°, I 15; 2θ = 53.2°, I 20; 2θ = 56.5°, I 23; 2θ = 63.5°, I 18

=====

[2]
MnGaPd4: computed powder diffraction line list (Cu Kα (weighted mean of Kα1 and Kα2)), based on a structure optimized by DFT (GGA-PBE).
Intensities are scaled so that the largest is 100.

Cell and atoms:
```
data_MnGaPd4
_cell_length_a 7.2089
_cell_length_b 4.1605
_cell_length_c 7.2338
_cell_angle_alpha 90.00
_cell_angle_beta 109.48
_cell_angle_gamma 90.00
_symmetry_space_group_name_H-M 'P 1'
_symmetry_Int_Tables_number 1
_symmetry_space_group_name_Hall 'P 1'
loop_
_atom_site_label
_atom_site_fract_x
_atom_site_fract_y
_atom_site_fract_z
_atom_site_occupancy
Mn1 0.0000 0.0000 0.0000 1
Mn2 0.5000 0.5000 0.0000 1
Ga1 0.0000 0.5000 0.5000 1
Ga2 0.5000 0.0000 0.5000 1
Pd1 0.1230 0.5000 0.8690 1
Pd2 0.1262 0.0000 0.3788 1
Pd3 0.3738 0.5000 0.6212 1
Pd4 0.3770 0.0000 0.1310 1
Pd5 0.6230 0.0000 0.8690 1
Pd6 0.6262 0.5000 0.3788 1
Pd7 0.8738 0.0000 0.6212 1
Pd8 0.8770 0.5000 0.1310 1
```

Main lines, by angle (2θ from 10° to 90°):
2θ = 26.2°, I 28; 2θ = 30.3°, I 79; 2θ = 43.4°, I 100; 2θ = 43.5°, I 100; 2θ = 54.0°, I 15; 2θ = 63.1°, I 32; 2θ = 71.7°, I 13; 2θ = 79.5°, I 16; 2θ = 79.8°, I 32; 2θ = 79.8°, I 16

=====

[3]
CsAc2AlS5: computed powder diffraction line list (Cu Kα (weighted mean of Kα1 and Kα2)), based on a structure optimized by DFT (GGA-PBE).
Intensities are scaled so that the largest is 100.

Cell and atoms:
```
data_CsAc2AlS5
_cell_length_a 9.1227
_cell_length_b 9.1227
_cell_length_c 9.1227
_cell_angle_alpha 125.00
_cell_angle_beta 125.00
_cell_angle_gamma 81.54
_symmetry_space_group_name_H-M 'P 1'
_symmetry_Int_Tables_number 1
_symmetry_space_group_name_Hall 'P 1'
loop_
_atom_site_label
_atom_site_fract_x
_atom_site_fract_y
_atom_site_fract_z
_atom_site_occupancy
Cs1 0.2500 0.2500 0.0000 1
Cs2 0.7500 0.7500 0.0000 1
Ac1 0.1690 0.6690 0.8379 1
Ac2 0.3310 0.1690 0.5000 1
Ac3 0.6690 0.8310 0.5000 1
Ac4 0.8310 0.3310 0.1621 1
Al1 0.2500 0.7500 0.5000 1
Al2 0.7500 0.2500 0.5000 1
S1 0.0000 0.0000 0.0000 1
S2 0.0002 0.2263 0.5000 1
S3 0.9998 0.7737 0.5000 1
S4 0.2263 0.7263 0.2261 1
S5 0.2737 0.4998 0.5000 1
S6 0.4998 0.9998 0.2261 1
S7 0.5002 0.0002 0.7739 1
S8 0.5000 0.5000 0.0000 1
S9 0.7263 0.5002 0.5000 1
S10 0.7737 0.2737 0.7739 1
```

Main lines, by angle (2θ from 10° to 90°):
2θ = 12.8°, I 47; 2θ = 19.7°, I 23; 2θ = 24.5°, I 68; 2θ = 24.8°, I 62; 2θ = 25.8°, I 28; 2θ = 30.7°, I 100; 2θ = 33.6°, I 41; 2θ = 40.5°, I 38; 2θ = 44.8°, I 36; 2θ = 48.8°, I 22